Entry 1:
Calculated powder diffraction line list
Compound: CdHg22
Radiation: λ = 1.5418 Å (Cu Kα)
Structure: the PBE geometry in Alexandria

Main lines, low angle first (2θ = 5–70°):
| d [Å] | 2θ/deg | I_rel | index |
| --- | --- | --- | --- |
| 2.975 | 30.04 | 76 | 5 3 1 |
| 2.783 | 32.17 | 43 | 6 2 0 |
| 2.684 | 33.39 | 79 | 5 3 3 |
| 2.653 | 33.78 | 100 | 6 2 2 |
| 2.540 | 35.34 | 34 | 4 4 4 |
| 2.464 | 36.46 | 40 | 7 1 1 |
| 1.769 | 51.68 | 22 | 9 3 3 |
| 1.693 | 54.16 | 33 | 6 6 6 |
| 1.556 | 59.42 | 65 | 8 8 0 |
| 1.493 | 62.19 | 21 | 11 3 3 |

Structure:
Cell lengths 17.599, 17.599, 17.599 Å; angles 90.00, 90.00, 90.00 degrees
Space group Fd-3m (No. 227, origin choice 2)
Inequivalent atoms, fractional coordinates:
Cd: 0.125 0.125 0.125 [8 per cell]
Hg: 0.000 0.000 0.000 [16 per cell]
Hg: 0.000 0.000 0.500 [16 per cell]
Hg: 0.017 0.375 0.875 [48 per cell]
Hg: 0.062 0.062 0.316 [96 per cell]


Entry 2:
Calculated powder diffraction line list
Compound: CaAg2PO4
Radiation: λ = 1.5418 Å (Cu Kα)
Structure: the PBE geometry in Alexandria

Main lines, low angle first (2θ = 5–70°):
| d [Å] | 2θ/deg | I_rel | index |
| --- | --- | --- | --- |
| 5.678 | 15.61 | 31 | 0 0 2 |
| 3.370 | 26.45 | 16 | 0 2 0 |
| 2.898 | 30.85 | 100 | 0 2 2 |
| 2.874 | 31.12 | 99 | 2 0 2 |
| 2.839 | 31.51 | 37 | 0 0 4 |
| 2.370 | 37.97 | 37 | 2 2 0 |
| 2.187 | 41.28 | 30 | 2 2 2 |
| 1.819 | 50.14 | 51 | 2 2 4 |
| 1.454 | 64.05 | 20 | 2 4 2 |
| 1.445 | 64.51 | 19 | 4 2 2 |

Structure:
```
data_CaAg2PO4
_chemical_formula_sum 'Ca4 Ag8 P4 O16'
_space_group_name_H-M_alt 'F m m 2'
_space_group_IT_number 42
_space_group_name_Hall 'F 2 -2'
_cell_length_a 6.665
_cell_length_b 6.741
_cell_length_c 11.355
_cell_angle_alpha 90.00
_cell_angle_beta 90.00
_cell_angle_gamma 90.00
loop_
_atom_site_label
_atom_site_type_symbol
_atom_site_fract_x
_atom_site_fract_y
_atom_site_fract_z
_atom_site_occupancy
Ca1 Ca 0.000 0.000 0.000 1
Ag1 Ag 0.250 0.250 0.253 1
P1 P 0.000 0.000 0.504 1
O1 O 0.000 0.189 0.425 1
O2 O 0.191 0.000 0.584 1
```